# 1
Diffraction record for YMg14Co. The powder X-ray diffraction pattern is computed, not measured: it uses a PBE-relaxed structure and Cu Kα (weighted mean of Kα1 and Kα2).

Crystal structure
```
16
Lattice="6.3859 0.0000 0.0000 -3.1930 5.5304 0.0000 0.0000 0.0000 10.2669" Properties=species:S:1:pos:R:3 pbc="T T T"
Y 0.0000 0.0000 0.0000
Mg -1.5394 2.7982 0.0000
Mg 0.0000 1.7615 2.7858
Mg 0.0000 1.7615 7.4811
Mg -1.6675 4.6496 2.7858
Mg -1.6675 4.6496 7.4811
Mg 1.5394 2.7982 0.0000
Mg 0.0000 5.4644 0.0000
Mg 3.1930 0.0396 5.1335
Mg 1.6308 2.7454 5.1335
Mg 3.1930 1.8435 2.4583
Mg 3.1930 1.8435 7.8086
Mg 1.6675 4.6496 2.7858
Mg 1.6675 4.6496 7.4811
Mg 4.7551 2.7454 5.1335
Co 0.0000 0.0000 5.1335
```

Principal peaks in the range 2θ = 10–90°, by intensity:
36.92 deg, I 100
32.38 deg, I 27
16.03 deg, I 25
34.96 deg, I 24
69.32 deg, I 17
57.75 deg, I 17
48.38 deg, I 16
63.99 deg, I 16

***

# 2
Diffraction record for SiO2. The powder X-ray diffraction pattern is computed, not measured: it uses a PBE-relaxed structure and Cu Kα (weighted mean of Kα1 and Kα2).

Crystal structure
```
36
Lattice="9.1697 5.2941 2.4215 -9.1697 5.2941 2.4215 0.0000 -10.5883 2.4215" Properties=species:S:1:pos:R:3 pbc="T T T"
Si -1.4729 -5.0781 3.2768
Si -5.1342 1.2635 3.2768
Si -3.6613 -3.8146 3.9875
Si -5.1342 -1.2635 3.9875
Si 1.4729 -5.0781 3.2768
Si -3.6613 3.8146 3.2768
Si 3.6613 -3.8146 3.9875
Si -1.4729 5.0781 3.9875
Si 5.1342 1.2635 3.2768
Si 3.6613 3.8146 3.2768
Si 5.1342 -1.2635 3.9875
Si 1.4729 5.0781 3.9875
O -2.6059 -6.0747 2.4215
O -3.9982 -3.6631 2.4215
O -5.1715 -1.6310 2.4215
O -6.5638 0.7806 2.4215
O 0.0000 -5.1600 2.5470
O -4.4687 2.5800 2.5470
O -2.0576 -3.5638 3.6322
O -4.1152 0.0000 3.6322
O 2.6059 -6.0747 2.4215
O -3.9580 5.2941 2.4215
O -4.4687 -2.5800 4.7174
O -5.1715 1.6310 4.8429
O -1.1733 5.2941 2.4215
O 2.0576 -3.5638 3.6322
O -2.0576 3.5638 3.6322
O -3.9982 3.6631 4.8429
O 1.1733 5.2941 2.4215
O 4.4687 2.5800 2.5470
O 6.5638 0.7806 2.4215
O 3.9579 5.2941 2.4215
O 4.1152 0.0000 3.6322
O 2.0576 3.5638 3.6322
O 4.4687 -2.5800 4.7174
O 0.0000 5.1600 4.7174
```

Principal peaks in the range 2θ = 10–90°, by intensity:
16.75 deg, I 100
26.99 deg, I 86
19.36 deg, I 59
35.29 deg, I 54
29.22 deg, I 52
13.40 deg, I 48
16.54 deg, I 47
31.94 deg, I 47

***

Repeat the first record exactly.
Diffraction record for YMg14Co. The powder X-ray diffraction pattern is computed, not measured: it uses a PBE-relaxed structure and Cu Kα (weighted mean of Kα1 and Kα2).

Crystal structure
```
16
Lattice="6.3859 0.0000 0.0000 -3.1930 5.5304 0.0000 0.0000 0.0000 10.2669" Properties=species:S:1:pos:R:3 pbc="T T T"
Y 0.0000 0.0000 0.0000
Mg -1.5394 2.7982 0.0000
Mg 0.0000 1.7615 2.7858
Mg 0.0000 1.7615 7.4811
Mg -1.6675 4.6496 2.7858
Mg -1.6675 4.6496 7.4811
Mg 1.5394 2.7982 0.0000
Mg 0.0000 5.4644 0.0000
Mg 3.1930 0.0396 5.1335
Mg 1.6308 2.7454 5.1335
Mg 3.1930 1.8435 2.4583
Mg 3.1930 1.8435 7.8086
Mg 1.6675 4.6496 2.7858
Mg 1.6675 4.6496 7.4811
Mg 4.7551 2.7454 5.1335
Co 0.0000 0.0000 5.1335
```

Principal peaks in the range 2θ = 10–90°, by intensity:
36.92 deg, I 100
32.38 deg, I 27
16.03 deg, I 25
34.96 deg, I 24
69.32 deg, I 17
57.75 deg, I 17
48.38 deg, I 16
63.99 deg, I 16